Record 1
The following is a calculated powder diffractogram of CrIrSe4. It was derived from the GGA-PBE geometry in Alexandria, using copper Kα.

Crystal structure
```
data_CrIrSe4
_symmetry_space_group_name_H-M 'P 1 21/c 1'
_symmetry_Int_Tables_number 14
_cell_length_a 6.040
_cell_length_b 6.012
_cell_length_c 6.021
_cell_angle_alpha 90.00
_cell_angle_beta 90.30
_cell_angle_gamma 90.00
loop_
_symmetry_equiv_pos_as_xyz
'x,y,z'
'-x,-y,-z'
'-x,y+1/2,-z+1/2'
'x,-y+1/2,z+1/2'
loop_
_atom_site_label
_atom_site_type_symbol
_atom_site_fract_x
_atom_site_fract_y
_atom_site_fract_z
_atom_site_occupancy
Cr1 Cr 0.000 0.000 0.000 1
Ir1 Ir 0.500 0.000 0.500 1
Se1 Se 0.123 0.132 0.369 1
Se2 Se 0.365 0.624 0.374 1
```

Most intense lines, 10° ≤ 2θ ≤ 90°, by angle:
hkl	Position (°2θ)	I_rel
1 1 1	25.6	562
1 0 -2	33.2	931
0 2 1	33.3	591
2 1 1	36.6	1000
0 2 2	42.5	569
1 1 3	50.3	908

---

Record 2
The following is a calculated powder diffractogram of SmSc2Cl. It was derived from the GGA-PBE geometry in Alexandria, using copper Kα.

Crystal structure
```
data_SmSc2Cl
_symmetry_space_group_name_H-M 'R -3 m'
_symmetry_Int_Tables_number 166
_symmetry_space_group_name_Hall '-R 3 2"'
_cell_length_a 3.4489
_cell_length_b 3.4489
_cell_length_c 28.7501
_cell_angle_alpha 90.00
_cell_angle_beta 90.00
_cell_angle_gamma 120.00
loop_
_atom_site_label
_atom_site_type_symbol
_atom_site_fract_x
_atom_site_fract_y
_atom_site_fract_z
_atom_site_occupancy
Sm1 Sm 0.0000 0.0000 0.0000 1
Sc1 Sc 0.0000 0.0000 0.1100 1
Cl1 Cl 0.0000 0.0000 0.5000 1
```

Most intense lines, 10° ≤ 2θ ≤ 90°, by angle:
hkl	Position (°2θ)	I_rel
0 0 6	18.5	528
0 0 9	27.9	423
1 0 1	30.1	846
0 1 2	30.6	1000
0 1 8	39.2	766
1 0 10	43.7	587

---

Record 3
The following is a calculated powder diffractogram of Ho2Ge3Mo. It was derived from the GGA-PBE geometry in Alexandria, using copper Kα.

Crystal structure
```
data_Ho2Ge3Mo
_symmetry_space_group_name_H-M 'I m m m'
_symmetry_Int_Tables_number 71
_symmetry_space_group_name_Hall '-I 2 2'
_cell_length_a 3.686
_cell_length_b 5.558
_cell_length_c 12.468
_cell_angle_alpha 90.00
_cell_angle_beta 90.00
_cell_angle_gamma 90.00
loop_
_atom_site_label
_atom_site_type_symbol
_atom_site_fract_x
_atom_site_fract_y
_atom_site_fract_z
_atom_site_occupancy
Ho1 Ho 0.000 0.000 0.171 1
Ge1 Ge 0.000 0.500 0.149 1
Ge2 Ge 0.000 0.500 0.500 1
Mo1 Mo 0.000 0.000 0.500 1
```

Most intense lines, 10° ≤ 2θ ≤ 90°, by angle:
hkl	Position (°2θ)	I_rel
0 2 0	32.2	497
1 0 3	32.5	1000
0 0 6	43.6	198
1 2 3	46.4	695
0 2 6	55.2	189
2 2 0	60.2	163

---

Record 4
The following is a calculated powder diffractogram of Th3SbTe3. It was derived from the GGA-PBE geometry in Alexandria, using copper Kα.

Crystal structure
```
data_Th3SbTe3
_symmetry_space_group_name_H-M 'I m m a'
_symmetry_Int_Tables_number 74
_symmetry_space_group_name_Hall '-I 2b 2'
_cell_length_a 8.833
_cell_length_b 8.986
_cell_length_c 12.492
_cell_angle_alpha 90.00
_cell_angle_beta 90.00
_cell_angle_gamma 90.00
loop_
_atom_site_label
_atom_site_type_symbol
_atom_site_fract_x
_atom_site_fract_y
_atom_site_fract_z
_atom_site_occupancy
Th1 Th 0.000 0.250 0.249 1
Th2 Th 0.246 0.000 0.000 1
Sb1 Sb 0.000 0.250 0.988 1
Te1 Te 0.000 0.250 0.512 1
Te2 Te 0.250 0.009 0.750 1
```

Most intense lines, 10° ≤ 2θ ≤ 90°, by angle:
hkl	Position (°2θ)	I_rel
2 2 0	28.3	1000
0 0 4	28.6	481
2 2 4	40.7	750
0 4 4	50.0	206
4 0 4	50.6	200
6 2 0	66.9	254